For Hg2Pb3, a DFT-relaxed cell (PBE, Alexandria) gives the calculated X-ray diffraction stick pattern in this record (λ = 1.5418 Å (Cu Kα)).
Neutral-atom scattering factors, no anomalous dispersion.

Crystal structure
```
Hg2Pb3
1.0
1.6788 0.9692 15.2262
-1.6788 0.9692 15.2262
0.0000 -1.9385 15.2262
Hg Pb
2 3
Direct
0.1005 0.1005 0.1005 Hg
0.8995 0.8995 0.8995 Hg
0.2976 0.2976 0.2976 Pb
0.5000 0.5000 0.5000 Pb
0.7024 0.7024 0.7024 Pb
```

Most intense lines, 10° ≤ 2θ ≤ 80°, most intense first:
Position (°2θ)	d/Å	intensity
32.31	2.771	100
36.64	2.453	71
29.33	3.045	42
63.25	1.470	30
50.84	1.796	28
54.67	1.679	23